Record 1
# CaH12S2O9
Theoretical powder diffraction line list, Cu Kα. Input: DFT lattice parameters and positions (PBE).

Top 8 peaks for 2θ from 10° to 90°, low angle first:
h k l	d [Å]	Rel. int.
0 1 0	7.193	67
0 0 2	5.248	74
1 1 0	4.491	43
-1 1 1	4.274	100
1 1 2	4.060	51
2 0 1	2.893	57
-1 1 3	2.879	86
0 2 -2	2.623	56

Structural model:
a = 5.8444 Å, b = 7.5447 Å, c = 11.1220 Å
α = 72.43°, β = 81.58°, γ = 87.83°
Space group P-1 (No. 2)
One atom of each set of equivalent atoms:
Ca (0.0888, 0.3858, 0.2651) [2 per cell]
H (0.0184, 0.2222, 0.8989) [2 per cell]
H (0.0276, 0.0387, 0.6177) [2 per cell]
H (0.0719, 0.3287, 0.5509) [2 per cell]
H (0.1329, 0.9701, 0.7463) [2 per cell]
H (0.1723, 0.7328, 0.4706) [2 per cell]
H (0.1890, 0.6697, 0.9306) [2 per cell]
H (0.2512, 0.7779, 0.1064) [2 per cell]
H (0.2938, 0.4060, 0.9918) [2 per cell]
H (0.3460, 0.2025, 0.0758) [2 per cell]
H (0.3600, 0.6703, 0.8054) [2 per cell]
H (0.4432, 0.0632, 0.3526) [2 per cell]
H (0.4648, 0.2175, 0.4182) [2 per cell]
S (0.3790, 0.1031, 0.8539) [2 per cell]
S (0.4457, 0.3014, 0.6823) [2 per cell]
O (0.0035, 0.7363, 0.4985) [2 per cell]
O (0.0348, 0.9304, 0.6942) [2 per cell]
O (0.1268, 0.7083, 0.0891) [2 per cell]
O (0.2234, 0.6059, 0.8640) [2 per cell]
O (0.2289, 0.4063, 0.6535) [2 per cell]
O (0.2978, 0.3259, 0.0804) [2 per cell]
O (0.3680, 0.5748, 0.3139) [2 per cell]
O (0.4341, 0.1987, 0.3380) [2 per cell]
O (0.4764, 0.7960, 0.4157) [2 per cell]

Record 2
# Li2Zn3Rh2
Theoretical powder diffraction line list, Cu Kα. Input: DFT lattice parameters and positions (PBE).

Top 8 peaks for 2θ from 10° to 90°, low angle first:
h k l	d [Å]	Rel. int.
0 0 1	6.173	76
1 1 0	3.619	23
2 0 -2	2.886	28
1 1 2	2.150	100
0 2 0	2.130	98
3 1 0	2.014	25
4 0 1	1.513	31
1 3 2	1.234	21

Structural model:
a = 7.3784 Å, b = 4.2621 Å, c = 6.6487 Å
α = 90.00°, β = 111.80°, γ = 90.00°
Space group C2/m (No. 12)
One atom of each set of equivalent atoms:
Li (0.1424, 0.0000, 0.4270) [4 per cell]
Zn (0.0000, 0.0000, 0.0000) [2 per cell]
Zn (0.0716, 0.5000, 0.7149) [4 per cell]
Rh (0.2116, 0.5000, 0.1356) [4 per cell]

Record 3
# CuAuI3
Theoretical powder diffraction line list, Cu Kα. Input: DFT lattice parameters and positions (PBE).

Top 8 peaks for 2θ from 10° to 90°, low angle first:
h k l	d [Å]	Rel. int.
2 0 -2	4.747	42
4 0 0	4.014	98
1 1 2	3.197	100
3 1 -2	2.888	25
1 1 -3	2.735	26
1 1 -4	2.287	37
5 1 2	2.237	46
0 0 6	1.826	31

Structural model:
a = 16.1353 Å, b = 4.1379 Å, c = 11.0079 Å
α = 90.00°, β = 95.64°, γ = 90.00°
Space group C2/m (No. 12)
One atom of each set of equivalent atoms:
Cu (0.0694, 0.0000, 0.2984) [4 per cell]
Au (0.1166, 0.5000, 0.9146) [4 per cell]
I (0.0913, 0.0000, 0.7418) [4 per cell]
I (0.1315, 0.5000, 0.4092) [4 per cell]
I (0.1391, 0.0000, 0.0876) [4 per cell]

Record 4
# Na2Pb5
Theoretical powder diffraction line list, Cu Kα. Input: DFT lattice parameters and positions (PBE).

Top 8 peaks for 2θ from 10° to 90°, low angle first:
h k l	d [Å]	Rel. int.
1 1 0	5.828	50
5 1 1	3.022	48
4 0 -2	2.881	73
3 1 2	2.729	90
2 2 -1	2.689	100
7 1 0	2.627	81
5 3 1	1.752	34
6 2 -3	1.624	23

Structural model:
a = 20.3950 Å, b = 6.0812 Å, c = 6.8992 Å
α = 90.00°, β = 91.04°, γ = 90.00°
Space group C2/c (No. 15)
One atom of each set of equivalent atoms:
Na (0.0727, 0.0950, 0.3923) [8 per cell]
Pb (0.0000, 0.4091, 0.7500) [4 per cell]
Pb (0.1445, 0.4121, 0.0396) [8 per cell]
Pb (0.2148, 0.0921, 0.6759) [8 per cell]

Record 5
# Ac3MgRh2O9
Theoretical powder diffraction line list, Cu Kα. Input: DFT lattice parameters and positions (PBE).

Top 8 peaks for 2θ from 10° to 90°, low angle first:
h k l	d [Å]	Rel. int.
1 0 1	4.025	23
1 1 0	2.846	100
0 2 1	2.324	18
2 0 2	2.012	28
2 1 1	1.800	12
1 2 2	1.644	31
3 0 0	1.642	10
3 1 2	1.273	18

Structural model:
a = 5.6879 Å, b = 5.6879 Å, c = 6.9814 Å
α = 90.00°, β = 90.00°, γ = 120.00°
Space group P-3m1 (No. 164)
One atom of each set of equivalent atoms:
Ac (0.0000, 0.0000, 0.0000) [1 per cell]
Ac (0.3333, 0.6667, 0.6642) [2 per cell]
Mg (0.0000, 0.0000, 0.5000) [1 per cell]
Rh (0.3333, 0.6667, 0.1707) [2 per cell]
O (0.0000, 0.5000, 0.0000) [3 per cell]
O (0.1679, 0.3358, 0.3337) [6 per cell]

Record 6
# TbUPb
Theoretical powder diffraction line list, Cu Kα. Input: DFT lattice parameters and positions (PBE).

Top 8 peaks for 2θ from 10° to 90°, low angle first:
h k l	d [Å]	Rel. int.
6 0 0	2.837	51
3 1 -1	2.720	99
3 1 1	2.632	100
6 0 -1	2.538	21
0 0 2	2.494	32
0 2 0	1.910	23
6 2 0	1.585	20
0 2 2	1.516	18

Structural model:
a = 17.0564 Å, b = 3.8208 Å, c = 4.9982 Å
α = 90.00°, β = 93.72°, γ = 90.00°
Space group C2/m (No. 12)
One atom of each set of equivalent atoms:
Tb (0.0728, 0.0000, 0.2580) [4 per cell]
U (0.2399, 0.5000, 0.3323) [4 per cell]
Pb (0.1042, 0.5000, 0.7696) [4 per cell]

Record 7
# Ce2In3Ru2
Theoretical powder diffraction line list, Cu Kα. Input: DFT lattice parameters and positions (PBE).

Top 8 peaks for 2θ from 10° to 90°, low angle first:
h k l	d [Å]	Rel. int.
1 1 2	2.902	100
2 1 2	2.792	80
5 1 1	2.653	73
6 1 0	2.505	29
7 0 1	2.404	32
0 2 0	2.353	79
4 0 3	2.186	28
8 1 3	1.568	26

Structural model:
a = 17.7574 Å, b = 4.7056 Å, c = 7.5356 Å
α = 90.00°, β = 90.00°, γ = 90.00°
Space group Pnma (No. 62)
One atom of each set of equivalent atoms:
Ce (0.0749, 0.2500, 0.0548) [4 per cell]
Ce (0.1472, 0.2500, 0.5683) [4 per cell]
In (0.0318, 0.7500, 0.3758) [4 per cell]
In (0.1849, 0.7500, 0.8622) [4 per cell]
In (0.1937, 0.7500, 0.2768) [4 per cell]
Ru (0.0315, 0.7500, 0.7613) [4 per cell]
Ru (0.2090, 0.2500, 0.0705) [4 per cell]

Record 8
# LiErGa2
Theoretical powder diffraction line list, Cu Kα. Input: DFT lattice parameters and positions (PBE).

Top 8 peaks for 2θ from 10° to 90°, low angle first:
h k l	d [Å]	Rel. int.
1 1 0	3.595	100
1 1 1	2.614	75
2 0 1	2.308	71
0 2 0	2.140	65
4 0 -1	1.839	15
2 2 1	1.569	21
3 1 2	1.301	21
4 2 -3	1.266	14

Structural model:
a = 7.4054 Å, b = 4.2845 Å, c = 5.5026 Å
α = 90.00°, β = 116.73°, γ = 90.00°
Space group C2/m (No. 12)
One atom of each set of equivalent atoms:
Li (0.0000, 0.0000, 0.0000) [2 per cell]
Er (0.0000, 0.5000, 0.5000) [2 per cell]
Ga (0.2123, 0.5000, 0.1371) [4 per cell]